Entry 1:
Structure and calculated XRD peak list of Nd6AuCl8 (a cell relaxed with PBE; Cu Kα, 1.54184 Å).

The 10 most intense peaks (10° ≤ 2θ ≤ 90°), most intense first:
- 30.7°, I 1000
- 43.3°, I 384
- 26.7°, I 353
- 44.6°, I 335
- 36.4°, I 238
- 55.1°, I 183
- 71.6°, I 160
- 73.4°, I 153
- 45.5°, I 133
- 81.2°, I 120

Structure:
Cell: 11.1599 11.1599 11.1599 Å, 36.79 36.79 36.79°
Element x y z (fractional)
Nd  0.0543  0.7216  0.3895
Nd  0.2784  0.6105  0.9457
Nd  0.3895  0.0543  0.7216
Nd  0.6105  0.9457  0.2784
Nd  0.7216  0.3895  0.0543
Nd  0.9457  0.2784  0.6105
Au  0.0000  0.0000  0.0000
Cl  0.1096  0.4348  0.7821
Cl  0.2179  0.8904  0.5652
Cl  0.3335  0.3335  0.3335
Cl  0.4348  0.7821  0.1096
Cl  0.5652  0.2179  0.8904
Cl  0.6665  0.6665  0.6665
Cl  0.7821  0.1096  0.4348
Cl  0.8904  0.5652  0.2179

***

Entry 2:
Structure and calculated XRD peak list of Nd3RhAuCl (a cell relaxed with PBE; Cu Kα, 1.54184 Å).

The 10 most intense peaks (10° ≤ 2θ ≤ 90°), most intense first:
- 30.5°, I 1000
- 30.7°, I 669
- 28.8°, I 471
- 35.8°, I 463
- 32.9°, I 403
- 42.5°, I 396
- 39.2°, I 259
- 44.0°, I 238
- 29.1°, I 234
- 54.7°, I 229

Structure:
Cell: 8.2367 4.2579 9.4946 Å, 90.00 101.32 90.00°
Element x y z (fractional)
Nd  0.0681  0.2500  0.3406
Nd  0.2073  0.2500  0.9673
Nd  0.3862  0.7500  0.6143
Nd  0.6138  0.2500  0.3857
Nd  0.7927  0.7500  0.0327
Nd  0.9319  0.7500  0.6594
Rh  0.1634  0.2500  0.6440
Rh  0.8366  0.7500  0.3560
Au  0.2944  0.7500  0.2524
Au  0.7056  0.2500  0.7476
Cl  0.4090  0.7500  0.9060
Cl  0.5910  0.2500  0.0940

***

Entry 3:
Structure and calculated XRD peak list of TlNiAuCl6 (a cell relaxed with PBE; Cu Kα, 1.54184 Å).

The 10 most intense peaks (10° ≤ 2θ ≤ 90°), most intense first:
- 20.2°, I 1000
- 37.7°, I 500
- 44.9°, I 258
- 27.7°, I 234
- 34.6°, I 234
- 49.0°, I 156
- 41.4°, I 144
- 58.6°, I 115
- 61.4°, I 111
- 50.6°, I 109

Structure:
Cell: 6.4380 6.4380 7.1064 Å, 90.00 90.00 120.00°
Element x y z (fractional)
Tl  0.0000  0.0000  0.0000
Ni  0.6667  0.3333  0.5000
Au  0.3333  0.6667  0.5000
Cl  0.3749  0.0166  0.6945
Cl  0.3749  0.3582  0.3055
Cl  0.6418  0.0166  0.3055
Cl  0.6418  0.6251  0.6945
Cl  0.9834  0.3582  0.6945
Cl  0.9834  0.6251  0.3055

***

Entry 4:
Structure and calculated XRD peak list of AuCl2O2 (a cell relaxed with PBE; Cu Kα, 1.54184 Å).

The 10 most intense peaks (10° ≤ 2θ ≤ 90°), most intense first:
- 22.5°, I 1000
- 10.7°, I 959
- 21.6°, I 735
- 29.4°, I 505
- 35.9°, I 392
- 26.2°, I 367
- 33.3°, I 326
- 32.3°, I 307
- 42.3°, I 291
- 51.0°, I 274

Structure:
Cell: 16.6988 16.6988 16.6988 Å, 166.33 166.33 19.38°
Element x y z (fractional)
Au  0.3750  0.6250  0.7500
Au  0.6250  0.3750  0.2500
Cl  0.2385  0.4885  0.7500
Cl  0.4885  0.2385  0.2500
Cl  0.5115  0.7615  0.7500
Cl  0.7615  0.5115  0.2500
O  0.1398  0.3898  0.7500
O  0.3898  0.1398  0.2500
O  0.6102  0.8602  0.7500
O  0.8602  0.6102  0.2500

***

Entry 5:
Structure and calculated XRD peak list of AuClO2 (a cell relaxed with PBE; Cu Kα, 1.54184 Å).

The 10 most intense peaks (10° ≤ 2θ ≤ 90°), most intense first:
- 20.3°, I 1000
- 23.0°, I 995
- 34.7°, I 662
- 15.0°, I 539
- 34.8°, I 497
- 38.1°, I 436
- 40.3°, I 273
- 48.4°, I 262
- 27.7°, I 255
- 33.1°, I 247

Structure:
Cell: 4.4592 3.4325 11.9875 Å, 90.00 100.18 90.00°
Element x y z (fractional)
Au  0.1337  0.2500  0.0728
Au  0.8663  0.7500  0.9272
Cl  0.3695  0.7500  0.2016
Cl  0.6305  0.2500  0.7984
O  0.1367  0.2500  0.4502
O  0.1437  0.7500  0.5658
O  0.8563  0.2500  0.4342
O  0.8633  0.7500  0.5498

***

Entry 6:
Structure and calculated XRD peak list of AuClO2 (a cell relaxed with PBE; Cu Kα, 1.54184 Å).

The 10 most intense peaks (10° ≤ 2θ ≤ 90°), most intense first:
- 26.1°, I 1000
- 15.8°, I 926
- 34.7°, I 509
- 29.1°, I 360
- 43.8°, I 259
- 40.5°, I 243
- 47.9°, I 216
- 49.8°, I 211
- 24.3°, I 152
- 53.6°, I 148

Structure:
Cell: 6.6942 6.6942 4.1180 Å, 90.00 90.00 113.57°
Element x y z (fractional)
Au  0.2324  0.2324  0.0000
Au  0.7676  0.7676  0.5000
Cl  0.1250  0.8750  0.7500
Cl  0.8750  0.1250  0.2500
O  0.3122  0.5119  0.2858
O  0.4881  0.6878  0.2142
O  0.5119  0.3122  0.7142
O  0.6878  0.4881  0.7858

***

Entry 7:
Structure and calculated XRD peak list of PAuCl8 (a cell relaxed with PBE; Cu Kα, 1.54184 Å).

The 10 most intense peaks (10° ≤ 2θ ≤ 90°), most intense first:
- 17.5°, I 1000
- 18.1°, I 624
- 30.1°, I 566
- 19.7°, I 561
- 13.5°, I 385
- 16.7°, I 357
- 25.5°, I 325
- 41.2°, I 309
- 23.1°, I 254
- 11.1°, I 251

Structure:
Cell: 12.0512 12.0512 12.0512 Å, 113.83 97.33 117.93°
Element x y z (fractional)
P  0.2557  0.0000  0.7557
P  0.2557  0.5000  0.2557
P  0.7443  0.0000  0.2443
P  0.7443  0.5000  0.7443
Au  0.1846  0.4346  0.7500
Au  0.2932  0.0432  0.2500
Au  0.7068  0.9568  0.7500
Au  0.8154  0.5654  0.2500
Cl  0.0014  0.7514  0.2500
Cl  0.0387  0.4346  0.6041
Cl  0.0823  0.3236  0.1106
Cl  0.0823  0.9717  0.7586
Cl  0.1483  0.0441  0.1043
Cl  0.2494  0.5178  0.4235
Cl  0.2494  0.8259  0.7316
Cl  0.2869  0.0283  0.6106
Cl  0.2869  0.6764  0.2586
Cl  0.2914  0.2177  0.4263
Cl  0.2914  0.8651  0.0737
Cl  0.3305  0.4346  0.8959
Cl  0.3721  0.6221  0.7500
Cl  0.4057  0.1741  0.9235
Cl  0.4057  0.4822  0.2316
Cl  0.4398  0.0441  0.3957
Cl  0.5602  0.9559  0.6043
Cl  0.5943  0.5178  0.7684
Cl  0.5943  0.8259  0.0765
Cl  0.6279  0.3779  0.2500
Cl  0.6695  0.5654  0.1041
Cl  0.7086  0.1349  0.9263
Cl  0.7086  0.7823  0.5737
Cl  0.7131  0.3236  0.7414
Cl  0.7131  0.9717  0.3894
Cl  0.7506  0.1741  0.2684
Cl  0.7506  0.4822  0.5765
Cl  0.8517  0.9559  0.8957
Cl  0.9177  0.0283  0.2414
Cl  0.9177  0.6764  0.8894
Cl  0.9613  0.5654  0.3959
Cl  0.9986  0.2486  0.7500

***

Entry 8:
Structure and calculated XRD peak list of Pb5AuCl12 (a cell relaxed with PBE; Cu Kα, 1.54184 Å).

The 10 most intense peaks (10° ≤ 2θ ≤ 90°), most intense first:
- 13.8°, I 1000
- 24.5°, I 374
- 31.2°, I 331
- 24.8°, I 317
- 32.1°, I 305
- 23.2°, I 209
- 27.7°, I 197
- 26.4°, I 192
- 41.9°, I 186
- 41.3°, I 185

Structure:
Cell: 7.5336 7.5336 12.8395 Å, 91.61 91.61 118.58°
Element x y z (fractional)
Pb  0.0000  0.0000  0.0000
Pb  0.1551  0.8449  0.5000
Pb  0.3339  0.6661  0.0000
Pb  0.6661  0.3339  0.0000
Pb  0.8449  0.1551  0.5000
Au  0.5000  0.5000  0.5000
Cl  0.0090  0.6739  0.1169
Cl  0.1212  0.1212  0.6330
Cl  0.1999  0.4745  0.4023
Cl  0.3261  0.9910  0.8831
Cl  0.3405  0.3405  0.1162
Cl  0.4745  0.1999  0.4023
Cl  0.5255  0.8001  0.5977
Cl  0.6595  0.6595  0.8838
Cl  0.6739  0.0090  0.1169
Cl  0.8001  0.5255  0.5977
Cl  0.8788  0.8788  0.3670
Cl  0.9910  0.3261  0.8831